No. 1
Calculated powder diffraction line list of NdMgCl4 for a wavelength of 1.5418 Å, from the PBE geometry in Alexandria.

Cell and atoms:
Cell lengths 7.1805, 3.6318, 7.1988 Å; angles 90.00, 107.04, 90.00 degrees
Fractional coordinates of all 6 atoms:
Nd 0.0000 0.0000 0.0000
Mg 0.5000 0.5000 0.0000
Cl 0.2875 0.0000 0.7989
Cl 0.2883 0.5000 0.2260
Cl 0.7125 0.0000 0.2011
Cl 0.7117 0.5000 0.7740

Peak list (6 most intense, 5 to 70 degrees two-theta, in order of rising 2θ)
| 2θ/deg | I (rel.) |
| --- | --- |
| 12.9 | 100 |
| 15.3 | 17 |
| 27.8 | 31 |
| 30.9 | 22 |
| 32.3 | 52 |
| 45.4 | 26 |

=====

No. 2
Calculated powder diffraction line list of Rb12MgCl4O4 for a wavelength of 1.5418 Å, from the PBE geometry in Alexandria.

Cell and atoms:
Cell lengths 7.7379, 10.9371, 8.3643 Å; angles 90.00, 90.87, 90.00 degrees
Fractional coordinates of all 21 atoms:
Rb 0.0000 0.0000 0.0000
Rb 0.1268 0.5000 0.0573
Rb 0.3149 0.2242 0.2869
Rb 0.3149 0.7758 0.2869
Rb 0.4066 0.2408 0.8436
Rb 0.4066 0.7592 0.8436
Rb 0.5055 0.5000 0.4970
Rb 0.6369 0.0000 0.5205
Rb 0.8087 0.2694 0.2384
Rb 0.8087 0.7306 0.2384
Rb 0.8896 0.2979 0.7175
Rb 0.8896 0.7021 0.7175
Mg 0.1844 0.0000 0.6231
Cl 0.0195 0.0000 0.3703
Cl 0.0623 0.5000 0.4517
Cl 0.5599 0.5000 0.0754
Cl 0.5625 0.0000 0.1010
O 0.0746 0.2557 0.0064
O 0.0746 0.7443 0.0064
O 0.5765 0.2530 0.5417
O 0.5765 0.7470 0.5417

Peak list (6 most intense, 5 to 70 degrees two-theta, in order of rising 2θ)
| 2θ/deg | I (rel.) |
| --- | --- |
| 26.8 | 100 |
| 27.0 | 21 |
| 28.3 | 72 |
| 31.3 | 38 |
| 32.8 | 43 |
| 45.9 | 22 |

=====

No. 3
Calculated powder diffraction line list of Rb12MgCl4O4 for a wavelength of 1.5418 Å, from the PBE geometry in Alexandria.

Cell and atoms:
Cell lengths 7.8858, 7.9065, 12.7298 Å; angles 77.29, 84.62, 89.37 degrees
Fractional coordinates of all 21 atoms:
Rb 0.0000 0.0000 0.0000
Rb 0.0294 0.5318 0.9232
Rb 0.2331 0.2610 0.2016
Rb 0.3291 0.2593 0.7688
Rb 0.3800 0.6438 0.4404
Rb 0.4837 0.9605 0.0357
Rb 0.5192 0.4927 0.9688
Rb 0.5927 0.2458 0.4652
Rb 0.7415 0.8861 0.7806
Rb 0.7879 0.5554 0.1971
Rb 0.8727 0.8652 0.3467
Rb 0.9323 0.4934 0.5668
Mg 0.1449 0.1016 0.5343
Cl 0.1915 0.6948 0.2006
Cl 0.3220 0.8341 0.8182
Cl 0.6492 0.1666 0.2076
Cl 0.7573 0.2925 0.8048
O 0.2428 0.2590 0.9950
O 0.2519 0.3047 0.5494
O 0.7092 0.5715 0.4143
O 0.7612 0.7426 0.9855

Peak list (6 most intense, 5 to 70 degrees two-theta, in order of rising 2θ)
| 2θ/deg | I (rel.) |
| --- | --- |
| 7.2 | 56 |
| 16.2 | 42 |
| 24.0 | 45 |
| 25.7 | 89 |
| 28.0 | 100 |
| 29.9 | 63 |

=====

No. 4
Calculated powder diffraction line list of Rb12MgCl4O4 for a wavelength of 1.5418 Å, from the PBE geometry in Alexandria.

Cell and atoms:
Cell lengths 7.7131, 8.0583, 12.5948 Å; angles 75.56, 86.74, 89.73 degrees
Fractional coordinates of all 21 atoms:
Rb 0.0000 0.0000 0.0000
Rb 0.0097 0.3583 0.3555
Rb 0.0831 0.5490 0.9918
Rb 0.1453 0.9988 0.6122
Rb 0.3493 0.1105 0.1742
Rb 0.4379 0.7670 0.4512
Rb 0.5184 0.2703 0.4321
Rb 0.6005 0.9377 0.8288
Rb 0.6125 0.4502 0.9419
Rb 0.6579 0.6439 0.1836
Rb 0.7799 0.5284 0.6141
Rb 0.9490 0.8771 0.3533
Mg 0.2513 0.3273 0.7978
Cl 0.2317 0.7001 0.1951
Cl 0.3603 0.6497 0.7413
Cl 0.7429 0.9615 0.5723
Cl 0.7718 0.2117 0.1732
O 0.2399 0.0718 0.3952
O 0.2782 0.2622 0.9507
O 0.7335 0.5720 0.4070
O 0.7867 0.7342 0.9722

Peak list (6 most intense, 5 to 70 degrees two-theta, in order of rising 2θ)
| 2θ/deg | I (rel.) |
| --- | --- |
| 24.2 | 62 |
| 25.4 | 100 |
| 25.7 | 71 |
| 27.5 | 71 |
| 28.1 | 63 |
| 32.1 | 82 |

=====

No. 5
Calculated powder diffraction line list of MgOsCl2 for a wavelength of 1.5418 Å, from the PBE geometry in Alexandria.

Cell and atoms:
Cell lengths 3.1699, 3.1699, 9.3256 Å; angles 90.00, 90.00, 120.82 degrees
Fractional coordinates of all 4 atoms:
Mg 0.0000 0.0000 0.0000
Os 0.5000 0.5000 0.7517
Cl 0.0000 0.0000 0.5632
Cl 0.5000 0.5000 0.1849

Peak list (6 most intense, 5 to 70 degrees two-theta, in order of rising 2θ)
| 2θ/deg | I (rel.) |
| --- | --- |
| 9.5 | 100 |
| 19.0 | 23 |
| 32.5 | 18 |
| 34.3 | 15 |
| 38.3 | 38 |
| 44.2 | 17 |

=====

No. 6
Calculated powder diffraction line list of MgOsCl2 for a wavelength of 1.5418 Å, from the PBE geometry in Alexandria.

Cell and atoms:
Cell lengths 11.2993, 11.2993, 11.2993 Å; angles 16.01, 16.01, 16.01 degrees
Fractional coordinates of all 4 atoms:
Mg 0.0000 0.0000 0.0000
Os 0.5000 0.5000 0.5000
Cl 0.2868 0.2868 0.2868
Cl 0.7132 0.7132 0.7132

Peak list (6 most intense, 5 to 70 degrees two-theta, in order of rising 2θ)
| 2θ/deg | I (rel.) |
| --- | --- |
| 7.9 | 100 |
| 15.9 | 82 |
| 23.9 | 41 |
| 34.6 | 61 |
| 35.6 | 45 |
| 42.8 | 35 |

=====

No. 7
Calculated powder diffraction line list of Mg2OsCl for a wavelength of 1.5418 Å, from the PBE geometry in Alexandria.

Cell and atoms:
Cell lengths 2.9555, 3.2968, 7.5755 Å; angles 90.00, 90.00, 90.00 degrees
Fractional coordinates of all 4 atoms:
Mg 0.0000 0.0000 0.2187
Mg 0.0000 0.0000 0.7813
Os 0.5000 0.5000 0.0000
Cl 0.5000 0.0000 0.5000

Peak list (6 most intense, 5 to 70 degrees two-theta, in order of rising 2θ)
| 2θ/deg | I (rel.) |
| --- | --- |
| 11.7 | 100 |
| 23.5 | 26 |
| 29.6 | 43 |
| 36.1 | 22 |
| 38.6 | 34 |
| 42.8 | 38 |

=====

No. 8
Calculated powder diffraction line list of Rb2MgOsCl6 for a wavelength of 1.5418 Å, from the PBE geometry in Alexandria.

Cell and atoms:
Cell lengths 6.8530, 6.8530, 6.8530 Å; angles 116.12, 116.12, 96.87 degrees
Fractional coordinates of all 10 atoms:
Rb 0.2500 0.7500 0.5000
Rb 0.7500 0.2500 0.5000
Mg 0.0000 0.0000 0.0000
Os 0.5000 0.5000 0.0000
Cl 0.2456 0.2456 0.0000
Cl 0.2612 0.2612 0.5224
Cl 0.2612 0.7388 0.0000
Cl 0.7388 0.2612 0.0000
Cl 0.7388 0.7388 0.4776
Cl 0.7544 0.7544 0.0000

Peak list (6 most intense, 5 to 70 degrees two-theta, in order of rising 2θ)
| 2θ/deg | I (rel.) |
| --- | --- |
| 15.6 | 96 |
| 24.6 | 59 |
| 26.2 | 100 |
| 35.0 | 86 |
| 44.2 | 50 |
| 53.9 | 46 |

=====

No. 9
Calculated powder diffraction line list of MgPbCl4 for a wavelength of 1.5418 Å, from the PBE geometry in Alexandria.

Cell and atoms:
Cell lengths 7.5369, 7.5369, 7.1502 Å; angles 117.12, 117.12, 30.35 degrees
Fractional coordinates of all 6 atoms:
Mg 0.0000 0.0000 0.0000
Pb 0.5000 0.5000 0.5000
Cl 0.1144 0.1144 0.8248
Cl 0.3926 0.3926 0.7571
Cl 0.6074 0.6074 0.2429
Cl 0.8856 0.8856 0.1752

Peak list (6 most intense, 5 to 70 degrees two-theta, in order of rising 2θ)
| 2θ/deg | I (rel.) |
| --- | --- |
| 13.8 | 100 |
| 14.3 | 36 |
| 23.6 | 28 |
| 28.9 | 29 |
| 29.2 | 61 |
| 38.1 | 43 |

=====

No. 10
Calculated powder diffraction line list of MgPb3Cl8 for a wavelength of 1.5418 Å, from the PBE geometry in Alexandria.

Cell and atoms:
Cell lengths 8.0163, 8.0163, 8.0695 Å; angles 116.89, 116.89, 63.34 degrees
Fractional coordinates of all 12 atoms:
Mg 0.0000 0.0000 0.0000
Pb 0.0000 0.5000 0.5000
Pb 0.5000 0.0000 0.5000
Pb 0.5000 0.5000 0.0000
Cl 0.2203 0.7775 0.2196
Cl 0.2224 0.2224 0.2230
Cl 0.2225 0.7797 0.7804
Cl 0.2505 0.2505 0.7466
Cl 0.7495 0.7495 0.2534
Cl 0.7775 0.2203 0.2196
Cl 0.7776 0.7776 0.7770
Cl 0.7797 0.2225 0.7804

Peak list (6 most intense, 5 to 70 degrees two-theta, in order of rising 2θ)
| 2θ/deg | I (rel.) |
| --- | --- |
| 13.8 | 100 |
| 24.9 | 66 |
| 30.7 | 56 |
| 30.9 | 27 |
| 43.0 | 31 |
| 45.3 | 29 |

=====

No. 11
Calculated powder diffraction line list of Sr2MgPbCl8 for a wavelength of 1.5418 Å, from the PBE geometry in Alexandria.

Cell and atoms:
Cell lengths 6.4427, 8.6103, 6.6317 Å; angles 90.00, 90.11, 90.00 degrees
Fractional coordinates of all 12 atoms:
Sr 0.0000 0.2378 0.0000
Sr 0.0000 0.7622 0.0000
Mg 0.5000 0.0000 0.5000
Pb 0.5000 0.5000 0.5000
Cl 0.2272 0.5000 0.1575
Cl 0.2473 0.0000 0.1955
Cl 0.2897 0.2208 0.6593
Cl 0.2897 0.7792 0.6593
Cl 0.7103 0.2208 0.3407
Cl 0.7103 0.7792 0.3407
Cl 0.7527 0.0000 0.8045
Cl 0.7728 0.5000 0.8425

Peak list (6 most intense, 5 to 70 degrees two-theta, in order of rising 2θ)
| 2θ/deg | I (rel.) |
| --- | --- |
| 19.2 | 100 |
| 24.9 | 37 |
| 28.3 | 25 |
| 36.9 | 31 |
| 37.4 | 56 |
| 39.0 | 26 |

=====

No. 12
Calculated powder diffraction line list of SrMgPbCl6 for a wavelength of 1.5418 Å, from the PBE geometry in Alexandria.

Cell and atoms:
Cell lengths 7.0178, 7.0178, 12.2861 Å; angles 90.00, 90.00, 120.00 degrees
Fractional coordinates of all 18 atoms:
Sr 0.3333 0.6667 0.2500
Sr 0.6667 0.3333 0.7500
Mg 0.3333 0.6667 0.7500
Mg 0.6667 0.3333 0.2500
Pb 0.0000 0.0000 0.0000
Pb 0.0000 0.0000 0.5000
Cl 0.0389 0.3686 0.6306
Cl 0.0389 0.6703 0.8694
Cl 0.3297 0.3686 0.8694
Cl 0.3297 0.9611 0.6306
Cl 0.3686 0.0389 0.1306
Cl 0.3686 0.3297 0.3694
Cl 0.6314 0.6703 0.6306
Cl 0.6314 0.9611 0.8694
Cl 0.6703 0.0389 0.3694
Cl 0.6703 0.6314 0.1306
Cl 0.9611 0.3297 0.1306
Cl 0.9611 0.6314 0.3694

Peak list (6 most intense, 5 to 70 degrees two-theta, in order of rising 2θ)
| 2θ/deg | I (rel.) |
| --- | --- |
| 14.6 | 26 |
| 20.6 | 100 |
| 29.3 | 34 |
| 32.9 | 31 |
| 39.0 | 50 |
| 42.0 | 33 |

=====

No. 13
Calculated powder diffraction line list of MgPd3Cl9 for a wavelength of 1.5418 Å, from the PBE geometry in Alexandria.

Cell and atoms:
Cell lengths 10.3657, 10.3657, 12.7497 Å; angles 126.10, 126.10, 37.12 degrees
Fractional coordinates of all 26 atoms:
Mg 0.1830 0.8170 0.5000
Mg 0.8170 0.1830 0.0000
Pd 0.0603 0.4875 0.3798
Pd 0.3628 0.5534 0.2102
Pd 0.4400 0.7999 0.0772
Pd 0.4875 0.0603 0.8798
Pd 0.5534 0.3628 0.7102
Pd 0.7999 0.4400 0.5772
Cl 0.0154 0.7860 0.5544
Cl 0.1202 0.1740 0.2069
Cl 0.1370 0.8510 0.9024
Cl 0.1740 0.1202 0.7069
Cl 0.2190 0.5399 0.2848
Cl 0.2340 0.4266 0.9920
Cl 0.4124 0.9848 0.0052
Cl 0.4266 0.2340 0.4920
Cl 0.4368 0.7295 0.4298
Cl 0.5399 0.2190 0.7848
Cl 0.5437 0.5457 0.1482
Cl 0.5457 0.5437 0.6482
Cl 0.7295 0.4368 0.9298
Cl 0.7320 0.7646 0.2583
Cl 0.7646 0.7320 0.7583
Cl 0.7860 0.0154 0.0544
Cl 0.8510 0.1370 0.4024
Cl 0.9848 0.4124 0.5052

Peak list (6 most intense, 5 to 70 degrees two-theta, in order of rising 2θ)
| 2θ/deg | I (rel.) |
| --- | --- |
| 14.6 | 39 |
| 18.4 | 82 |
| 18.9 | 100 |
| 24.9 | 35 |
| 28.5 | 36 |
| 34.7 | 31 |